Calculated XRD peak list of Li3V3SbO8 for Cu Ka, from the PBE+U geometry in Alexandria.
No peak broadening, texture or thermal motion is included.

Cell: 6.104 6.104 6.107 Å, 119.88 119.88 61.02°
Fractional coordinates of all 15 atoms:
Li1 0.000 0.000 0.000
Li2 0.000 0.500 0.500
Li3 0.500 0.000 0.500
V1 0.000 0.500 0.000
V2 0.500 0.000 0.000
V3 0.500 0.500 0.500
Sb1 0.000 0.000 0.500
O1 0.225 0.759 0.262
O2 0.234 0.234 0.740
O3 0.241 0.775 0.738
O4 0.251 0.251 0.220
O5 0.749 0.749 0.780
O6 0.759 0.225 0.262
O7 0.766 0.766 0.260
O8 0.775 0.241 0.738

Peak list (10 most intense, 10 to 90 degrees two-theta, sorted by position)
2θ (°)  d (Å)  Rel. int.
17.7  5.024  17
17.8  4.970  100
34.1  2.631  30
34.6  2.594  16
41.5  2.175  43
42.1  2.145  21
45.7  1.986  11
55.0  1.668  10
60.6  1.528  18
60.7  1.526  12